Record 1
# FeOF
Calculated powder diffraction line list, Cu Kα X-rays. Input: a structure optimized by DFT (GGA+U).

Structure:
```
FeOF
1.0
9.482 0.000 0.000
0.000 3.098 0.000
-0.008 0.000 14.254
Fe O F
12 12 12
Cartesian
0.000 0.000 0.000
0.012 0.000 4.876
2.366 1.549 6.917
2.430 1.549 12.192
2.640 1.549 2.429
4.646 0.000 4.818
4.707 0.000 0.105
4.776 0.000 9.517
7.140 1.549 2.148
7.379 1.549 11.973
7.415 1.549 7.141
9.386 0.000 9.576
0.953 1.549 13.419
1.480 0.000 6.181
3.370 0.000 3.364
3.409 0.000 12.786
3.851 1.549 0.918
3.944 1.549 5.776
6.237 0.000 1.424
8.060 0.000 12.858
8.121 0.000 8.068
8.591 1.549 5.611
8.623 1.549 10.448
8.681 1.549 0.965
0.960 1.549 3.785
1.052 1.549 8.620
1.517 0.000 1.555
1.544 0.000 10.947
3.298 0.000 8.084
3.825 1.549 10.415
5.704 1.549 8.547
5.716 1.549 13.274
5.796 1.549 3.891
6.222 0.000 10.960
6.270 0.000 6.235
8.095 0.000 3.296
```

Most intense lines, 10 to 80 degrees two-theta, low angle first:
| 2theta | d/Å | I_rel |
| --- | --- | --- |
| 26.56 | 3.356 | 100.0 |
| 34.58 | 2.594 | 54.5 |
| 37.91 | 2.373 | 7.7 |
| 39.59 | 2.276 | 17.7 |
| 42.60 | 2.122 | 8.9 |
| 52.25 | 1.751 | 58.5 |
| 54.70 | 1.678 | 15.8 |
| 59.70 | 1.549 | 9.7 |
| 66.28 | 1.410 | 10.0 |
| 66.45 | 1.407 | 22.5 |


Record 2
# Na3CoSiBO7
Calculated powder diffraction line list, Cu Kα X-rays. Input: a structure optimized by DFT (GGA+U).

Structure:
```
Na3CoSiBO7
1.0
5.199 0.000 0.000
0.000 6.333 0.000
-0.348 0.000 8.965
Na Co Si B O
6 2 2 2 14
Cartesian
1.203 1.583 0.738
1.053 3.220 6.612
1.053 6.280 6.612
3.799 0.053 2.353
3.799 3.113 2.353
3.648 4.750 8.227
0.993 4.750 2.972
3.858 1.583 5.993
1.338 1.583 3.866
3.514 4.750 5.099
1.368 4.750 0.619
3.483 1.583 8.346
0.121 4.750 1.241
0.380 1.583 5.172
1.036 0.317 2.832
1.036 2.849 2.832
1.233 4.750 8.266
1.919 4.750 4.684
2.354 4.750 1.611
2.498 1.583 7.354
2.933 1.583 4.281
3.618 1.583 0.699
3.815 3.484 6.133
3.815 6.016 6.133
4.471 4.750 3.793
4.731 1.583 7.724
```

Most intense lines, 10 to 80 degrees two-theta, low angle first:
| 2theta | d/Å | I_rel |
| --- | --- | --- |
| 17.14 | 5.173 | 58.1 |
| 19.41 | 4.573 | 28.0 |
| 20.08 | 4.421 | 27.8 |
| 25.74 | 3.461 | 25.7 |
| 28.18 | 3.167 | 65.4 |
| 30.32 | 2.948 | 27.3 |
| 34.50 | 2.600 | 100.0 |
| 34.68 | 2.586 | 34.6 |
| 34.85 | 2.574 | 35.0 |
| 58.27 | 1.583 | 25.7 |


Record 3
# Ti3Cr2CuP6O24
Calculated powder diffraction line list, Cu Kα X-rays. Input: a structure optimized by DFT (GGA+U).

Structure:
```
Ti3Cr2CuP6O24
1.0
4.328 2.499 6.982
-4.328 2.499 6.982
0.000 -4.997 6.982
Ti Cr Cu P O
3 2 1 6 24
Cartesian
0.000 0.000 0.000
0.000 0.000 4.390
0.000 0.000 14.834
0.000 0.000 7.480
0.000 0.000 17.923
0.000 0.000 10.531
-1.280 -2.791 9.152
-2.564 0.021 12.642
-1.777 2.504 9.152
1.264 -2.231 12.642
3.057 0.287 9.152
1.300 2.210 12.642
-0.928 -3.675 7.937
-1.471 -0.128 5.872
-3.515 -1.226 12.622
-0.806 -3.565 10.424
-2.718 2.641 7.937
-0.624 -1.431 8.931
0.846 -1.210 5.872
-1.810 0.039 11.352
-2.685 2.481 10.424
-0.927 1.255 8.931
0.624 1.338 5.872
-1.633 0.002 13.898
0.871 -1.587 11.352
-0.896 -1.214 16.279
1.551 0.175 8.931
0.814 -1.415 13.898
0.939 1.548 11.352
2.819 -2.431 12.622
-0.603 1.383 16.279
0.818 1.413 13.898
3.647 1.033 7.937
0.695 3.657 12.622
1.499 -0.169 16.279
3.491 1.085 10.424
```

Most intense lines, 10 to 80 degrees two-theta, low angle first:
| 2theta | d/Å | I_rel |
| --- | --- | --- |
| 20.52 | 4.328 | 69.7 |
| 24.20 | 3.678 | 100.0 |
| 25.24 | 3.529 | 13.8 |
| 31.87 | 2.808 | 14.8 |
| 32.97 | 2.717 | 68.4 |
| 35.94 | 2.499 | 32.6 |
| 47.27 | 1.923 | 23.7 |
| 49.56 | 1.839 | 25.7 |
| 56.24 | 1.636 | 21.2 |
| 62.73 | 1.481 | 18.2 |


Record 4
# Li2TiFeO4
Calculated powder diffraction line list, Cu Kα X-rays. Input: a structure optimized by DFT (GGA+U).

Structure:
```
Li2TiFeO4
1.0
4.144 0.000 0.000
0.017 4.145 0.000
0.014 0.001 8.939
Li Ti Fe O
4 2 2 8
Cartesian
0.000 0.000 0.000
0.055 4.125 4.461
2.067 4.082 1.937
4.127 2.041 6.406
1.925 4.048 6.765
4.060 1.874 2.294
2.102 2.085 8.906
2.129 2.062 4.437
0.041 2.098 0.363
0.062 2.089 4.241
0.103 4.129 6.749
2.092 2.091 6.719
2.119 2.045 2.250
2.125 0.018 8.714
2.135 0.009 4.832
4.142 0.048 2.279
```

Most intense lines, 10 to 80 degrees two-theta, low angle first:
| 2theta | d/Å | I_rel |
| --- | --- | --- |
| 21.44 | 4.145 | 64.9 |
| 23.66 | 3.760 | 91.1 |
| 29.39 | 3.039 | 61.4 |
| 36.61 | 2.455 | 16.1 |
| 36.72 | 2.447 | 15.4 |
| 40.36 | 2.235 | 58.3 |
| 43.68 | 2.072 | 100.0 |
| 46.15 | 1.967 | 15.8 |
| 56.02 | 1.642 | 14.3 |
| 60.95 | 1.520 | 41.0 |


Record 5
# Li6Ti3VP6O24
Calculated powder diffraction line list, Cu Kα X-rays. Input: a structure optimized by DFT (GGA+U).

Structure:
```
Li6Ti3VP6O24
1.0
8.542 0.000 0.000
3.932 7.637 0.000
3.927 2.421 7.250
Li Ti V P O
6 3 1 6 24
Cartesian
0.000 0.000 0.000
6.183 6.068 6.408
8.220 8.103 4.693
8.001 6.033 2.258
8.127 3.106 1.083
9.998 1.828 3.548
10.375 9.541 5.728
5.989 1.657 0.050
10.791 4.571 2.194
5.639 6.631 3.678
2.868 1.277 1.391
5.341 4.876 0.729
8.204 4.493 4.410
11.089 7.924 2.921
13.494 8.396 6.569
12.485 4.030 5.122
1.997 2.559 1.588
4.948 5.165 4.974
3.852 4.533 1.037
4.570 2.599 5.262
6.817 8.161 2.748
2.205 0.484 0.238
6.009 5.645 1.873
9.181 8.131 6.660
7.549 5.895 4.301
4.325 1.603 1.028
7.202 3.356 4.677
6.202 3.608 0.495
10.155 8.422 4.058
9.226 4.534 5.554
12.015 8.602 6.192
8.875 4.195 3.026
7.097 1.282 1.721
10.545 6.519 2.522
14.128 9.739 6.996
9.590 4.912 0.469
11.799 4.252 6.515
12.568 7.884 3.314
11.494 3.921 3.941
14.375 7.849 5.419
```

Most intense lines, 10 to 80 degrees two-theta, low angle first:
| 2theta | d/Å | I_rel |
| --- | --- | --- |
| 14.33 | 6.183 | 21.1 |
| 19.89 | 4.464 | 22.3 |
| 20.71 | 4.288 | 40.3 |
| 20.83 | 4.264 | 18.2 |
| 23.75 | 3.746 | 100.0 |
| 23.87 | 3.728 | 49.4 |
| 28.95 | 3.084 | 19.1 |
| 30.91 | 2.893 | 26.1 |
| 34.81 | 2.577 | 29.7 |
| 54.39 | 1.687 | 21.7 |


Record 6
# Sr2EuVO6
Calculated powder diffraction line list, Cu Kα X-rays. Input: a structure optimized by DFT (GGA+U).

Structure:
```
Sr2EuVO6
1.0
0.000 4.147 4.147
4.147 0.000 4.147
4.147 4.147 0.000
Sr Eu V O
2 1 1 6
Cartesian
2.074 2.074 2.074
6.221 6.221 6.221
0.000 0.000 0.000
4.147 4.147 4.147
4.147 4.147 2.250
4.147 2.250 4.147
6.044 4.147 4.147
2.250 4.147 4.147
4.147 6.044 4.147
4.147 4.147 6.044
```

Most intense lines, 10 to 80 degrees two-theta, low angle first:
| 2theta | d/Å | I_rel |
| --- | --- | --- |
| 18.53 | 4.789 | 13.0 |
| 21.43 | 4.147 | 4.1 |
| 30.48 | 2.932 | 100.0 |
| 35.91 | 2.501 | 12.1 |
| 43.65 | 2.074 | 33.4 |
| 47.80 | 1.903 | 7.2 |
| 54.18 | 1.693 | 38.8 |
| 57.76 | 1.596 | 3.5 |
| 63.44 | 1.466 | 19.9 |
| 72.01 | 1.311 | 17.9 |


Record 7
# Sr2CrWO6
Calculated powder diffraction line list, Cu Kα X-rays. Input: a structure optimized by DFT (GGA+U).

Structure:
```
Sr2CrWO6
1.0
-2.846 2.846 3.946
2.846 -2.846 3.946
2.846 2.846 -3.946
Sr Cr W O
2 1 1 6
Cartesian
2.846 0.000 1.973
0.000 2.846 1.973
0.000 0.000 0.000
0.000 0.000 3.946
1.415 1.415 0.000
1.432 -1.432 3.946
0.000 0.000 2.002
0.000 0.000 5.890
-1.432 1.432 3.946
1.432 1.432 3.946
```

Most intense lines, 10 to 80 degrees two-theta, low angle first:
| 2theta | d/Å | I_rel |
| --- | --- | --- |
| 19.22 | 4.617 | 37.0 |
| 31.43 | 2.846 | 51.4 |
| 31.75 | 2.818 | 100.0 |
| 37.10 | 2.423 | 15.2 |
| 45.04 | 2.013 | 33.4 |
| 46.00 | 1.973 | 15.7 |
| 56.16 | 1.638 | 40.1 |
| 56.77 | 1.622 | 19.4 |
| 65.60 | 1.423 | 10.1 |
| 66.34 | 1.409 | 19.5 |